ThReSi2Ir: simulated XRD peak list (CuKα), based on a crystal structure in Alexandria, relaxed with PBE.
Intensities are scaled so that the largest is 1000.

The 6 most intense peaks (2θ = 15–90°), by angle:
| 2θ (°) | I (rel.) |
| --- | --- |
| 22.84 | 270 |
| 34.49 | 209 |
| 35.03 | 1000 |
| 42.68 | 352 |
| 57.30 | 207 |
| 73.19 | 244 |

Cell lengths 5.7775, 5.7775, 5.7775 Å; angles 136.98, 136.98, 62.47 degrees
Fractional positions:
Th 0.0000 0.0000 0.0000
Re 0.7500 0.2500 0.5000
Si 0.3721 0.3721 0.0000
Si 0.6279 0.6279 0.0000
Ir 0.2500 0.7500 0.5000